1.
Simulated powder diffraction line list of V3Zn2O8 for Cu Kα X-rays, from the PBE+U geometry in the Materials Project.
Peak positions follow from Bragg's law for the DFT cell and can differ from measured ones.

```
data_V3Zn2O8
_cell_length_a 10.0452
_cell_length_b 5.9479
_cell_length_c 4.9961
_cell_angle_alpha 90.00
_cell_angle_beta 102.47
_cell_angle_gamma 90.00
_space_group_name_H-M_alt 'C 1 2/m 1'
_space_group_IT_number 12
loop_
_space_group_symop_operation_xyz
'x,y,z'
'-x,-y,-z'
'-x,y,-z'
'x,-y,z'
'x+1/2,y+1/2,z'
'-x+1/2,-y+1/2,-z'
'-x+1/2,y+1/2,-z'
'x+1/2,-y+1/2,z'
loop_
_atom_site_label
_atom_site_fract_x
_atom_site_fract_y
_atom_site_fract_z
_atom_site_occupancy
V1 0.0000 0.0000 0.0000 1
V2 0.0000 0.2626 0.5000 1
Zn1 0.2097 0.5000 0.0965 1
O1 0.0996 0.0000 0.3576 1
O2 0.1040 0.5000 0.3865 1
O3 0.1192 0.2271 0.8580 1
```

Most intense lines, 10° ≤ 2θ ≤ 90°, by angle:
| 2θ (°) | I_rel |
| --- | --- |
| 18.14 | 32.5 |
| 22.77 | 46.9 |
| 26.70 | 51.8 |
| 28.46 | 59.7 |
| 31.22 | 45.5 |
| 33.13 | 74.0 |
| 35.32 | 100.0 |
| 38.03 | 36.9 |
| 48.63 | 43.0 |
| 54.90 | 45.2 |


2.
Simulated powder diffraction line list of V2Zn2O5 for Cu Kα X-rays, from the PBE+U geometry in the Materials Project.
Peak positions follow from Bragg's law for the DFT cell and can differ from measured ones.

```
data_V2Zn2O5
_cell_length_a 5.6719
_cell_length_b 10.8745
_cell_length_c 3.5173
_cell_angle_alpha 90.00
_cell_angle_beta 90.00
_cell_angle_gamma 90.00
_space_group_name_H-M_alt 'P b a m'
_space_group_IT_number 55
loop_
_space_group_symop_operation_xyz
'x,y,z'
'-x,-y,-z'
'-x,-y,z'
'x,y,-z'
'x+1/2,-y+1/2,-z'
'-x+1/2,y+1/2,z'
'-x+1/2,y+1/2,-z'
'x+1/2,-y+1/2,z'
loop_
_atom_site_label
_atom_site_fract_x
_atom_site_fract_y
_atom_site_fract_z
_atom_site_occupancy
V1 0.2392 0.1370 0.0000 1
Zn1 0.2144 0.4005 0.5000 1
O1 0.0000 0.0000 0.0000 1
O2 0.1347 0.3056 0.0000 1
O3 0.1643 0.5843 0.5000 1
```

Most intense lines, 10° ≤ 2θ ≤ 90°, by angle:
| 2θ (°) | I_rel |
| --- | --- |
| 30.26 | 14.4 |
| 31.55 | 46.5 |
| 32.95 | 32.4 |
| 34.23 | 100.0 |
| 46.26 | 27.6 |
| 52.00 | 21.9 |
| 57.18 | 13.8 |
| 57.91 | 25.4 |
| 59.66 | 17.4 |
| 72.12 | 12.7 |


3.
Simulated powder diffraction line list of VZnO3 for Cu Kα X-rays, from the PBE+U geometry in the Materials Project.
Peak positions follow from Bragg's law for the DFT cell and can differ from measured ones.

```
data_VZnO3
_cell_length_a 3.7804
_cell_length_b 3.7804
_cell_length_c 3.7804
_cell_angle_alpha 90.00
_cell_angle_beta 90.00
_cell_angle_gamma 90.00
_space_group_name_H-M_alt 'P m -3 m'
_space_group_IT_number 221
_space_group_name_Hall '-P 4 2 3'
loop_
_atom_site_label
_atom_site_fract_x
_atom_site_fract_y
_atom_site_fract_z
_atom_site_occupancy
V1 0.0000 0.0000 0.0000 1
Zn1 0.5000 0.5000 0.5000 1
O1 0.0000 0.0000 0.5000 1
```

Most intense lines, 10° ≤ 2θ ≤ 90°, by angle:
| 2θ (°) | I_rel |
| --- | --- |
| 33.52 | 100.0 |
| 41.37 | 16.2 |
| 48.14 | 43.5 |
| 59.94 | 35.7 |
| 70.45 | 23.4 |
| 80.31 | 14.7 |
| 85.12 | 3.9 |
| 89.89 | 7.7 |


4.
Simulated powder diffraction line list of VZnO2 for Cu Kα X-rays, from the PBE+U geometry in the Materials Project.
Peak positions follow from Bragg's law for the DFT cell and can differ from measured ones.

```
data_VZnO2
_cell_length_a 14.9623
_cell_length_b 3.0609
_cell_length_c 10.8831
_cell_angle_alpha 90.00
_cell_angle_beta 132.14
_cell_angle_gamma 90.00
_space_group_name_H-M_alt 'C 1 2 1'
_space_group_IT_number 5
loop_
_space_group_symop_operation_xyz
'x,y,z'
'-x,y,-z'
'x+1/2,y+1/2,z'
'-x+1/2,y+1/2,-z'
loop_
_atom_site_label
_atom_site_fract_x
_atom_site_fract_y
_atom_site_fract_z
_atom_site_occupancy
V1 0.1493 0.0000 0.3169 1
V2 0.1514 0.5064 0.9923 1
Zn1 0.0069 0.4696 0.6252 1
Zn2 0.1566 0.9718 0.6606 1
O1 0.0301 0.0057 0.8401 1
O2 0.1576 0.5019 0.4580 1
O3 0.1702 0.4990 0.2098 1
O4 0.2268 0.5056 0.8844 1
```

Most intense lines, 10° ≤ 2θ ≤ 90°, by angle:
| 2θ (°) | I_rel |
| --- | --- |
| 10.96 | 74.8 |
| 11.83 | 79.0 |
| 33.31 | 73.4 |
| 34.77 | 100.0 |
| 36.02 | 50.6 |
| 38.53 | 99.4 |
| 44.40 | 57.2 |
| 44.93 | 76.7 |
| 49.28 | 47.3 |
| 60.50 | 38.9 |


5.
Simulated powder diffraction line list of V4ZnO6 for Cu Kα X-rays, from the PBE+U geometry in the Materials Project.
Peak positions follow from Bragg's law for the DFT cell and can differ from measured ones.

```
data_V4ZnO6
_cell_length_a 2.9549
_cell_length_b 10.1241
_cell_length_c 15.7341
_cell_angle_alpha 90.00
_cell_angle_beta 90.00
_cell_angle_gamma 90.00
_space_group_name_H-M_alt 'C m c m'
_space_group_IT_number 63
_space_group_name_Hall '-C 2c 2'
loop_
_atom_site_label
_atom_site_fract_x
_atom_site_fract_y
_atom_site_fract_z
_atom_site_occupancy
V1 0.0000 0.1029 0.1381 1
V2 0.0000 0.3655 0.0473 1
Zn1 0.0000 0.1508 0.7500 1
O1 0.0000 0.0000 0.0000 1
O2 0.0000 0.2097 0.2500 1
O3 0.0000 0.2770 0.5788 1
O4 0.0000 0.4665 0.1620 1
```

Most intense lines, 10° ≤ 2θ ≤ 90°, by angle:
| 2θ (°) | I_rel |
| --- | --- |
| 33.54 | 100.0 |
| 35.47 | 17.6 |
| 35.99 | 26.6 |
| 38.67 | 16.3 |
| 42.24 | 54.5 |
| 44.25 | 30.8 |
| 56.98 | 19.2 |
| 57.95 | 15.3 |
| 62.44 | 15.6 |
| 73.20 | 14.2 |


6.
Simulated powder diffraction line list of V3Zn2O8 for Cu Kα X-rays, from the PBE+U geometry in the Materials Project.
Peak positions follow from Bragg's law for the DFT cell and can differ from measured ones.

```
data_V3Zn2O8
_cell_length_a 5.9128
_cell_length_b 5.9128
_cell_length_c 9.5415
_cell_angle_alpha 90.00
_cell_angle_beta 90.00
_cell_angle_gamma 120.00
_space_group_name_H-M_alt 'P 3 1 c'
_space_group_IT_number 159
loop_
_space_group_symop_operation_xyz
'x,y,z'
'-y,x-y,z'
'-x+y,-x,z'
'y,x,z+1/2'
'x-y,-y,z+1/2'
'-x,-x+y,z+1/2'
loop_
_atom_site_label
_atom_site_fract_x
_atom_site_fract_y
_atom_site_fract_z
_atom_site_occupancy
V1 0.1618 0.3243 0.0000 1
Zn1 0.3333 0.6667 0.2830 1
Zn2 0.3333 0.6667 0.6798 1
O1 0.0000 0.0000 0.1104 1
O2 0.0344 0.5191 0.1190 1
O3 0.1594 0.3263 0.4030 1
O4 0.3333 0.6667 0.8898 1
```

Most intense lines, 10° ≤ 2θ ≤ 90°, by angle:
| 2θ (°) | I_rel |
| --- | --- |
| 25.52 | 75.0 |
| 30.23 | 26.2 |
| 33.16 | 79.9 |
| 35.05 | 26.2 |
| 35.73 | 100.0 |
| 36.33 | 56.6 |
| 55.59 | 47.0 |
| 57.33 | 23.6 |
| 60.51 | 60.2 |
| 62.87 | 49.8 |